Starting from a structure optimized by DFT (GGA+U), the powder diffraction line list of MgFe2O5 was simulated for Cu Kα (weighted mean of Kα1 and Kα2).
Neutral-atom scattering factors, no anomalous dispersion.

Top 10 peaks for 10° ≤ 2θ ≤ 90°, by angle:
| d_spacing | I_rel |
| --- | --- |
| 5.313 | 1000 |
| 3.810 | 155 |
| 3.561 | 391 |
| 3.386 | 305 |
| 3.005 | 340 |
| 2.584 | 144 |
| 2.547 | 278 |
| 2.147 | 127 |
| 1.890 | 210 |
| 1.533 | 163 |

Cell and atoms:
a = 5.6395 Å, b = 5.6395 Å, c = 10.9315 Å
α = 90.00°, β = 90.00°, γ = 140.85°
Atoms (fractional coordinates):
Mg (0.1191, 0.8809, 0.7500)
Mg (0.8809, 0.1191, 0.2500)
Fe (0.2039, 0.7961, 0.0995)
Fe (0.2039, 0.7961, 0.4005)
Fe (0.7961, 0.2039, 0.5995)
Fe (0.7961, 0.2039, 0.9005)
O (0.0405, 0.9595, 0.1515)
O (0.0405, 0.9595, 0.3485)
O (0.2384, 0.7616, 0.5798)
O (0.2384, 0.7616, 0.9202)
O (0.3033, 0.6967, 0.2500)
O (0.6967, 0.3033, 0.7500)
O (0.7616, 0.2384, 0.0798)
O (0.7616, 0.2384, 0.4202)
O (0.9595, 0.0405, 0.6515)
O (0.9595, 0.0405, 0.8485)

***

Starting from a structure optimized by DFT (GGA+U), the powder diffraction line list of FePH6NO5 was simulated for Cu Kα (weighted mean of Kα1 and Kα2).
Neutral-atom scattering factors, no anomalous dispersion.

Top 10 peaks for 10° ≤ 2θ ≤ 90°, by angle:
| d_spacing | I_rel |
| --- | --- |
| 4.831 | 164 |
| 4.265 | 222 |
| 3.426 | 99 |
| 3.413 | 98 |
| 2.859 | 1000 |
| 2.420 | 86 |
| 2.334 | 113 |
| 2.329 | 80 |
| 1.924 | 82 |
| 1.649 | 98 |

Cell and atoms:
a = 10.2313 Å, b = 10.2313 Å, c = 7.4787 Å
α = 107.74°, β = 107.74°, γ = 123.52°
Atoms (fractional coordinates):
Fe (0.2378, 0.7622, 0.5000)
Fe (0.2606, 0.7420, 0.0018)
Fe (0.7420, 0.2606, 0.5018)
Fe (0.7622, 0.2378, 0.0000)
P (0.1340, 0.4395, 0.5006)
P (0.4395, 0.1340, 0.0006)
P (0.6349, 0.9376, 0.5033)
P (0.9376, 0.6349, 0.0033)
H (0.0001, 0.6933, 0.6346)
H (0.0269, 0.9425, 0.3500)
H (0.0615, 0.3749, 0.8667)
H (0.0876, 0.1779, 0.1473)
H (0.1331, 0.1762, 0.5057)
H (0.1762, 0.1331, 0.0057)
H (0.1779, 0.0876, 0.6473)
H (0.1989, 0.5107, 0.1405)
H (0.3749, 0.0615, 0.3667)
H (0.4418, 0.5271, 0.8509)
H (0.4529, 0.5000, 0.5058)
H (0.5000, 0.4529, 0.0058)
H (0.5107, 0.1989, 0.6405)
H (0.5271, 0.4418, 0.3509)
H (0.5599, 0.8673, 0.8619)
H (0.5888, 0.6782, 0.1490)
H (0.6342, 0.6760, 0.5049)
H (0.6760, 0.6342, 0.0049)
H (0.6782, 0.5888, 0.6490)
H (0.6933, 0.0001, 0.1346)
H (0.8673, 0.5599, 0.3619)
H (0.9425, 0.0269, 0.8500)
H (0.9521, 0.9982, 0.5055)
H (0.9982, 0.9521, 0.0055)
N (0.0513, 0.0732, 0.0023)
N (0.0732, 0.0513, 0.5023)
N (0.5514, 0.5735, 0.0026)
N (0.5735, 0.5514, 0.5026)
O (0.0619, 0.4339, 0.2780)
O (0.1558, 0.7779, 0.2215)
O (0.1963, 0.4992, 0.0029)
O (0.2486, 0.3833, 0.5128)
O (0.2753, 0.6590, 0.7120)
O (0.3011, 0.9632, 0.0026)
O (0.3833, 0.2486, 0.0128)
O (0.4339, 0.0619, 0.7780)
O (0.4628, 0.7961, 0.5002)
O (0.4992, 0.1963, 0.5029)
O (0.5650, 0.9376, 0.2844)
O (0.6590, 0.2753, 0.2120)
O (0.6952, 0.9888, 0.9996)
O (0.7497, 0.8819, 0.5104)
O (0.7779, 0.1558, 0.7215)
O (0.7961, 0.4628, 0.0002)
O (0.8819, 0.7497, 0.0104)
O (0.9376, 0.5650, 0.7844)
O (0.9632, 0.3011, 0.5026)
O (0.9888, 0.6952, 0.4996)

***

Starting from a structure optimized by DFT (GGA+U), the powder diffraction line list of Li2TiCo3O8 was simulated for Cu Kα (weighted mean of Kα1 and Kα2).
Neutral-atom scattering factors, no anomalous dispersion.

Top 10 peaks for 10° ≤ 2θ ≤ 90°, by angle:
| d_spacing | I_rel |
| --- | --- |
| 4.825 | 1000 |
| 2.558 | 168 |
| 2.542 | 164 |
| 2.463 | 148 |
| 2.414 | 87 |
| 2.133 | 198 |
| 2.114 | 192 |
| 2.025 | 165 |
| 1.626 | 63 |
| 1.499 | 58 |

Cell and atoms:
a = 8.1013 Å, b = 8.4580 Å, c = 8.5307 Å
α = 90.18°, β = 90.10°, γ = 90.06°
Atoms (fractional coordinates):
Li (0.0000, 0.0000, 0.0000)
Li (0.0110, 0.4986, 0.5031)
Li (0.2503, 0.7458, 0.7493)
Li (0.2628, 0.2499, 0.2488)
Li (0.4994, 0.4974, 0.0006)
Li (0.5108, 0.0007, 0.4957)
Li (0.7511, 0.7518, 0.2461)
Li (0.7629, 0.2467, 0.7494)
Ti (0.1294, 0.8839, 0.3613)
Ti (0.3809, 0.1182, 0.8728)
Ti (0.6275, 0.6146, 0.6366)
Ti (0.8846, 0.3745, 0.1274)
Co (0.1268, 0.1267, 0.6263)
Co (0.1315, 0.3696, 0.8759)
Co (0.1378, 0.6195, 0.1205)
Co (0.3779, 0.3743, 0.6249)
Co (0.3810, 0.6279, 0.3773)
Co (0.3871, 0.8744, 0.1281)
Co (0.6262, 0.3708, 0.3690)
Co (0.6304, 0.1288, 0.1204)
Co (0.6398, 0.8793, 0.8780)
Co (0.8751, 0.1195, 0.3725)
Co (0.8804, 0.8697, 0.6201)
Co (0.8850, 0.6239, 0.8736)
O (0.1053, 0.8813, 0.6113)
O (0.1202, 0.1098, 0.3826)
O (0.1233, 0.3776, 0.1043)
O (0.1243, 0.5946, 0.8849)
O (0.1374, 0.3607, 0.6511)
O (0.1378, 0.1460, 0.8685)
O (0.1431, 0.8676, 0.1388)
O (0.1573, 0.6363, 0.3679)
O (0.3611, 0.3606, 0.8627)
O (0.3694, 0.1296, 0.6429)
O (0.3699, 0.8643, 0.3664)
O (0.3713, 0.6391, 0.1385)
O (0.3915, 0.3862, 0.3923)
O (0.3926, 0.6173, 0.6146)
O (0.3940, 0.8916, 0.8795)
O (0.3986, 0.1175, 0.1070)
O (0.6047, 0.6187, 0.3862)
O (0.6219, 0.1214, 0.8954)
O (0.6227, 0.9032, 0.1141)
O (0.6252, 0.3909, 0.6152)
O (0.6386, 0.1335, 0.3445)
O (0.6393, 0.3529, 0.1286)
O (0.6403, 0.6310, 0.8581)
O (0.6555, 0.8622, 0.6309)
O (0.8625, 0.1393, 0.1327)
O (0.8673, 0.3686, 0.3564)
O (0.8710, 0.8571, 0.8678)
O (0.8716, 0.6407, 0.6324)
O (0.8883, 0.1017, 0.6076)
O (0.8944, 0.8796, 0.3781)
O (0.8953, 0.6058, 0.1185)
O (0.8987, 0.3810, 0.8903)

***

Starting from a structure optimized by DFT (GGA+U), the powder diffraction line list of Sr2TbWO6 was simulated for Cu Kα (weighted mean of Kα1 and Kα2).
Neutral-atom scattering factors, no anomalous dispersion.

Top 10 peaks for 10° ≤ 2θ ≤ 90°, by angle:
| d_spacing | I_rel |
| --- | --- |
| 4.213 | 200 |
| 2.979 | 1000 |
| 2.107 | 299 |
| 1.884 | 86 |
| 1.720 | 409 |
| 1.490 | 187 |
| 1.404 | 40 |
| 1.332 | 182 |
| 1.216 | 62 |
| 1.126 | 220 |

Cell and atoms:
a = 5.9585 Å, b = 5.9585 Å, c = 5.9585 Å
α = 60.00°, β = 60.00°, γ = 60.00°
Atoms (fractional coordinates):
Sr (0.2500, 0.2500, 0.2500)
Sr (0.7500, 0.7500, 0.7500)
Tb (0.0000, 0.0000, 0.0000)
W (0.5000, 0.5000, 0.5000)
O (0.2638, 0.2638, 0.7362)
O (0.2638, 0.7362, 0.2638)
O (0.2638, 0.7362, 0.7362)
O (0.7362, 0.2638, 0.2638)
O (0.7362, 0.2638, 0.7362)
O (0.7362, 0.7362, 0.2638)

***

Starting from a structure optimized by DFT (GGA+U), the powder diffraction line list of Mn3V2Cr3O16 was simulated for Cu Kα (weighted mean of Kα1 and Kα2).
Neutral-atom scattering factors, no anomalous dispersion.

Top 10 peaks for 10° ≤ 2θ ≤ 90°, by angle:
| d_spacing | I_rel |
| --- | --- |
| 4.423 | 1000 |
| 4.405 | 627 |
| 2.552 | 153 |
| 2.542 | 190 |
| 2.453 | 228 |
| 2.445 | 361 |
| 2.206 | 170 |
| 1.926 | 169 |
| 1.919 | 170 |
| 1.468 | 237 |

Cell and atoms:
a = 5.8730 Å, b = 5.8752 Å, c = 8.8345 Å
α = 89.99°, β = 89.52°, γ = 60.33°
Atoms (fractional coordinates):
Mn (0.0000, 0.0000, 0.0000)
Mn (0.9999, 0.4917, 0.9997)
Mn (0.1720, 0.6598, 0.5032)
V (0.1656, 0.1621, 0.7116)
V (0.4956, 0.4968, 0.2106)
Cr (0.4903, 0.0006, 0.0002)
Cr (0.6589, 0.1713, 0.5038)
Cr (0.6643, 0.6549, 0.4931)
O (0.0046, 0.4790, 0.6156)
O (0.0057, 0.0056, 0.6162)
O (0.1519, 0.1704, 0.1109)
O (0.1756, 0.6589, 0.1158)
O (0.2974, 0.8806, 0.8716)
O (0.2983, 0.3136, 0.8715)
O (0.3470, 0.3630, 0.3736)
O (0.3495, 0.7850, 0.3734)
O (0.4774, 0.0042, 0.6184)
O (0.4913, 0.5101, 0.6124)
O (0.6543, 0.6557, 0.1164)
O (0.6548, 0.1818, 0.1177)
O (0.7770, 0.3642, 0.3692)
O (0.8326, 0.8215, 0.4091)
O (0.8389, 0.8264, 0.9005)
O (0.8740, 0.3082, 0.8757)

***

Starting from a structure optimized by DFT (GGA+U), the powder diffraction line list of MgPb2WO6 was simulated for Cu Kα (weighted mean of Kα1 and Kα2).
Neutral-atom scattering factors, no anomalous dispersion.

Top 10 peaks for 10° ≤ 2θ ≤ 90°, by angle:
| d_spacing | I_rel |
| --- | --- |
| 4.708 | 287 |
| 2.901 | 466 |
| 2.874 | 1000 |
| 2.470 | 98 |
| 2.354 | 115 |
| 2.051 | 228 |
| 2.013 | 156 |
| 1.670 | 284 |
| 1.654 | 210 |
| 1.437 | 138 |

Cell and atoms:
a = 11.6075 Å, b = 8.0526 Å, c = 5.8010 Å
α = 90.00°, β = 90.00°, γ = 90.00°
Atoms (fractional coordinates):
Mg (0.1203, 0.2500, 0.2443)
Mg (0.3797, 0.7500, 0.7443)
Mg (0.6203, 0.2500, 0.2557)
Mg (0.8797, 0.7500, 0.7557)
Pb (0.1453, 0.5053, 0.7087)
Pb (0.1453, 0.9947, 0.7087)
Pb (0.3547, 0.0053, 0.2087)
Pb (0.3547, 0.4947, 0.2087)
Pb (0.6453, 0.5053, 0.7913)
Pb (0.6453, 0.9947, 0.7913)
Pb (0.8547, 0.0053, 0.2913)
Pb (0.8547, 0.4947, 0.2913)
W (0.1166, 0.7500, 0.2460)
W (0.3834, 0.2500, 0.7460)
W (0.6166, 0.7500, 0.2540)
W (0.8834, 0.2500, 0.7540)
O (0.0013, 0.7500, 0.4850)
O (0.0103, 0.7500, 0.0046)
O (0.1339, 0.5083, 0.2709)
O (0.1339, 0.9917, 0.2709)
O (0.2355, 0.7500, 0.5226)
O (0.2485, 0.2500, 0.5374)
O (0.2515, 0.7500, 0.0374)
O (0.2645, 0.2500, 0.0226)
O (0.3661, 0.0083, 0.7709)
O (0.3661, 0.4917, 0.7709)
O (0.4897, 0.2500, 0.5046)
O (0.4987, 0.2500, 0.9850)
O (0.5013, 0.7500, 0.0150)
O (0.5103, 0.7500, 0.4954)
O (0.6339, 0.5083, 0.2291)
O (0.6339, 0.9917, 0.2291)
O (0.7355, 0.7500, 0.9774)
O (0.7485, 0.2500, 0.9626)
O (0.7515, 0.7500, 0.4626)
O (0.7645, 0.2500, 0.4774)
O (0.8661, 0.0083, 0.7291)
O (0.8661, 0.4917, 0.7291)
O (0.9897, 0.2500, 0.9954)
O (0.9987, 0.2500, 0.5150)

***

Repeat the second record exactly.
Starting from a structure optimized by DFT (GGA+U), the powder diffraction line list of FePH6NO5 was simulated for Cu Kα (weighted mean of Kα1 and Kα2).
Neutral-atom scattering factors, no anomalous dispersion.

Top 10 peaks for 10° ≤ 2θ ≤ 90°, by angle:
| d_spacing | I_rel |
| --- | --- |
| 4.831 | 164 |
| 4.265 | 222 |
| 3.426 | 99 |
| 3.413 | 98 |
| 2.859 | 1000 |
| 2.420 | 86 |
| 2.334 | 113 |
| 2.329 | 80 |
| 1.924 | 82 |
| 1.649 | 98 |

Cell and atoms:
a = 10.2313 Å, b = 10.2313 Å, c = 7.4787 Å
α = 107.74°, β = 107.74°, γ = 123.52°
Atoms (fractional coordinates):
Fe (0.2378, 0.7622, 0.5000)
Fe (0.2606, 0.7420, 0.0018)
Fe (0.7420, 0.2606, 0.5018)
Fe (0.7622, 0.2378, 0.0000)
P (0.1340, 0.4395, 0.5006)
P (0.4395, 0.1340, 0.0006)
P (0.6349, 0.9376, 0.5033)
P (0.9376, 0.6349, 0.0033)
H (0.0001, 0.6933, 0.6346)
H (0.0269, 0.9425, 0.3500)
H (0.0615, 0.3749, 0.8667)
H (0.0876, 0.1779, 0.1473)
H (0.1331, 0.1762, 0.5057)
H (0.1762, 0.1331, 0.0057)
H (0.1779, 0.0876, 0.6473)
H (0.1989, 0.5107, 0.1405)
H (0.3749, 0.0615, 0.3667)
H (0.4418, 0.5271, 0.8509)
H (0.4529, 0.5000, 0.5058)
H (0.5000, 0.4529, 0.0058)
H (0.5107, 0.1989, 0.6405)
H (0.5271, 0.4418, 0.3509)
H (0.5599, 0.8673, 0.8619)
H (0.5888, 0.6782, 0.1490)
H (0.6342, 0.6760, 0.5049)
H (0.6760, 0.6342, 0.0049)
H (0.6782, 0.5888, 0.6490)
H (0.6933, 0.0001, 0.1346)
H (0.8673, 0.5599, 0.3619)
H (0.9425, 0.0269, 0.8500)
H (0.9521, 0.9982, 0.5055)
H (0.9982, 0.9521, 0.0055)
N (0.0513, 0.0732, 0.0023)
N (0.0732, 0.0513, 0.5023)
N (0.5514, 0.5735, 0.0026)
N (0.5735, 0.5514, 0.5026)
O (0.0619, 0.4339, 0.2780)
O (0.1558, 0.7779, 0.2215)
O (0.1963, 0.4992, 0.0029)
O (0.2486, 0.3833, 0.5128)
O (0.2753, 0.6590, 0.7120)
O (0.3011, 0.9632, 0.0026)
O (0.3833, 0.2486, 0.0128)
O (0.4339, 0.0619, 0.7780)
O (0.4628, 0.7961, 0.5002)
O (0.4992, 0.1963, 0.5029)
O (0.5650, 0.9376, 0.2844)
O (0.6590, 0.2753, 0.2120)
O (0.6952, 0.9888, 0.9996)
O (0.7497, 0.8819, 0.5104)
O (0.7779, 0.1558, 0.7215)
O (0.7961, 0.4628, 0.0002)
O (0.8819, 0.7497, 0.0104)
O (0.9376, 0.5650, 0.7844)
O (0.9632, 0.3011, 0.5026)
O (0.9888, 0.6952, 0.4996)

***

What did the sixth record say?
Starting from a structure optimized by DFT (GGA+U), the powder diffraction line list of MgPb2WO6 was simulated for Cu Kα (weighted mean of Kα1 and Kα2).
Neutral-atom scattering factors, no anomalous dispersion.

Top 10 peaks for 10° ≤ 2θ ≤ 90°, by angle:
| d_spacing | I_rel |
| --- | --- |
| 4.708 | 287 |
| 2.901 | 466 |
| 2.874 | 1000 |
| 2.470 | 98 |
| 2.354 | 115 |
| 2.051 | 228 |
| 2.013 | 156 |
| 1.670 | 284 |
| 1.654 | 210 |
| 1.437 | 138 |

Cell and atoms:
a = 11.6075 Å, b = 8.0526 Å, c = 5.8010 Å
α = 90.00°, β = 90.00°, γ = 90.00°
Atoms (fractional coordinates):
Mg (0.1203, 0.2500, 0.2443)
Mg (0.3797, 0.7500, 0.7443)
Mg (0.6203, 0.2500, 0.2557)
Mg (0.8797, 0.7500, 0.7557)
Pb (0.1453, 0.5053, 0.7087)
Pb (0.1453, 0.9947, 0.7087)
Pb (0.3547, 0.0053, 0.2087)
Pb (0.3547, 0.4947, 0.2087)
Pb (0.6453, 0.5053, 0.7913)
Pb (0.6453, 0.9947, 0.7913)
Pb (0.8547, 0.0053, 0.2913)
Pb (0.8547, 0.4947, 0.2913)
W (0.1166, 0.7500, 0.2460)
W (0.3834, 0.2500, 0.7460)
W (0.6166, 0.7500, 0.2540)
W (0.8834, 0.2500, 0.7540)
O (0.0013, 0.7500, 0.4850)
O (0.0103, 0.7500, 0.0046)
O (0.1339, 0.5083, 0.2709)
O (0.1339, 0.9917, 0.2709)
O (0.2355, 0.7500, 0.5226)
O (0.2485, 0.2500, 0.5374)
O (0.2515, 0.7500, 0.0374)
O (0.2645, 0.2500, 0.0226)
O (0.3661, 0.0083, 0.7709)
O (0.3661, 0.4917, 0.7709)
O (0.4897, 0.2500, 0.5046)
O (0.4987, 0.2500, 0.9850)
O (0.5013, 0.7500, 0.0150)
O (0.5103, 0.7500, 0.4954)
O (0.6339, 0.5083, 0.2291)
O (0.6339, 0.9917, 0.2291)
O (0.7355, 0.7500, 0.9774)
O (0.7485, 0.2500, 0.9626)
O (0.7515, 0.7500, 0.4626)
O (0.7645, 0.2500, 0.4774)
O (0.8661, 0.0083, 0.7291)
O (0.8661, 0.4917, 0.7291)
O (0.9897, 0.2500, 0.9954)
O (0.9987, 0.2500, 0.5150)